Starting from a crystal structure in Alexandria, relaxed with PBE, the XRD peak list of ZrNp4As5 was calculated for Cu Kα (weighted mean of Kα1 and Kα2).
Neutral-atom scattering factors, no anomalous dispersion.

Structural model:
```
ZrNp4As5
1.0
-2.0184 2.8712 10.1765
2.0184 -2.8712 10.1765
2.0184 2.8712 -10.1765
Zr Np As
1 4 5
Cartesian
0.0000 0.0000 0.0000 Zr
0.0000 0.0000 4.0103 Np
0.0000 0.0000 8.1629 Np
0.0000 0.0000 12.1901 Np
0.0000 0.0000 16.3427 Np
2.0184 0.0000 1.9341 As
2.0184 0.0000 6.0899 As
0.0000 2.8712 0.0000 As
0.0000 2.8712 4.0866 As
0.0000 2.8712 8.2424 As
```

Peak list (8 most intense, 15° ≤ 2θ ≤ 90°, low angle first)
two_theta, I (rel.)
26.85, 19
27.00, 19
31.19, 100
44.67, 50
44.91, 13
55.33, 13
55.66, 13
73.87, 23